Entry 1:
# Ge
Theoretical powder diffractogram, Cu Kα, 1.54184 Å. Input: a PBE-relaxed structure.
No peak broadening, texture or thermal motion is included.

Cell and atoms:
```
Ge
1.0
4.0500 0.0000 0.0000
-2.0250 3.5074 0.0000
0.0000 0.0000 6.6840
Ge
4
direct
0.3333 0.6667 0.0629
0.3333 0.6667 0.4371
0.6667 0.3333 0.5629
0.6667 0.3333 0.9371
```

Principal peaks in the range 2θ from 15° to 90°, by intensity:
25.39°, I = 100
48.40°, I = 88
44.75°, I = 86
28.74°, I = 65
26.67°, I = 58
52.86°, I = 51
37.16°, I = 36
85.17°, I = 33
68.03°, I = 31
76.22°, I = 22
82.51°, I = 14
52.16°, I = 14

***

Entry 2:
# EuMgRe2O8
Theoretical powder diffractogram, Cu Kα, 1.54184 Å. Input: a PBE-relaxed structure.
No peak broadening, texture or thermal motion is included.

Cell and atoms:
```
EuMgRe2O8
1.0
5.9717 0.0000 0.0000
-2.9859 5.1717 0.0000
0.0000 0.0000 6.3402
Eu Mg Re O
1 1 2 8
direct
0.0000 0.0000 0.0000
0.0000 0.0000 0.5000
0.3333 0.6667 0.3602
0.6667 0.3333 0.6398
0.1622 0.3245 0.2817
0.1622 0.8378 0.2817
0.3245 0.1622 0.7183
0.3333 0.6667 0.6364
0.6667 0.3333 0.3636
0.6755 0.8378 0.2817
0.8378 0.1622 0.7183
0.8378 0.6755 0.7183
```

Principal peaks in the range 2θ from 15° to 90°, by intensity:
22.18°, I = 100
29.93°, I = 57
33.15°, I = 41
53.11°, I = 28
48.75°, I = 26
55.21°, I = 19
37.56°, I = 19
45.25°, I = 16
66.87°, I = 11
62.18°, I = 10
77.53°, I = 10
61.16°, I = 9

***

Entry 3:
# Cs2LiPdF6
Theoretical powder diffractogram, Cu Kα, 1.54184 Å. Input: a PBE-relaxed structure.
No peak broadening, texture or thermal motion is included.

Cell and atoms:
```
Cs2LiPdF6
1.0
0.0000 4.3709 4.3709
4.3709 0.0000 4.3709
4.3709 4.3709 0.0000
Cs Li Pd F
2 1 1 6
direct
0.2500 0.2500 0.2500
0.7500 0.7500 0.7500
0.0000 0.0000 0.0000
0.5000 0.5000 0.5000
0.2606 0.2606 0.7394
0.2606 0.7394 0.2606
0.2606 0.7394 0.7394
0.7394 0.2606 0.2606
0.7394 0.2606 0.7394
0.7394 0.7394 0.2606
```

Principal peaks in the range 2θ from 15° to 90°, by intensity:
28.89°, I = 100
51.19°, I = 41
41.31°, I = 40
17.57°, I = 25
59.85°, I = 25
35.58°, I = 24
82.59°, I = 22
67.80°, I = 18
34.01°, I = 12
20.32°, I = 11
75.32°, I = 8
71.60°, I = 7